Entry 1:
# Ag8SnSe6
Computed X-ray powder pattern, Cu Kα (weighted mean of Kα1 and Kα2). Input: a DFT-relaxed cell (PBE, Alexandria).
Intensities are scaled so that the largest is 1000.

Structure:
```
data_Ag8SnSe6
_chemical_formula_sum 'Ag16 Sn2 Se12'
_cell_length_a 8.122
_cell_length_b 7.918
_cell_length_c 11.182
_cell_angle_alpha 90.00
_cell_angle_beta 90.00
_cell_angle_gamma 90.00
_space_group_name_H-M_alt 'P m n 21'
_space_group_IT_number 31
loop_
_space_group_symop_operation_xyz
'x,y,z'
'-x+1/2,-y,z+1/2'
'-x,y,z'
'x+1/2,-y,z+1/2'
loop_
_atom_site_label
_atom_site_fract_x
_atom_site_fract_y
_atom_site_fract_z
Ag1 0.000 0.124 0.000
Ag2 0.000 0.201 0.569
Ag3 0.193 0.027 0.776
Ag4 0.212 0.613 0.171
Ag5 0.225 0.669 0.899
Sn1 0.000 0.748 0.520
Se1 0.000 0.006 0.383
Se2 0.000 0.305 0.791
Se3 0.000 0.504 0.368
Se4 0.000 0.790 0.036
Se5 0.240 0.257 0.148
```

Main lines, by angle (15 to 90 degrees two-theta):
25.91 deg, d 3.438, intensity 493
27.14 deg, d 3.286, intensity 1000
27.61 deg, d 3.231, intensity 803
29.43 deg, d 3.035, intensity 437
34.00 deg, d 2.637, intensity 655
34.88 deg, d 2.572, intensity 526
39.12 deg, d 2.303, intensity 574
40.79 deg, d 2.212, intensity 702
41.60 deg, d 2.171, intensity 447
41.94 deg, d 2.154, intensity 523
44.63 deg, d 2.030, intensity 531
45.57 deg, d 1.990, intensity 989

Entry 2:
# Ag2SnTeSe
Computed X-ray powder pattern, Cu Kα (weighted mean of Kα1 and Kα2). Input: a DFT-relaxed cell (PBE, Alexandria).
Intensities are scaled so that the largest is 1000.

Structure:
```
data_Ag2SnTeSe
_chemical_formula_sum 'Ag8 Sn4 Te4 Se4'
_cell_length_a 4.183
_cell_length_b 14.631
_cell_length_c 8.607
_cell_angle_alpha 90.00
_cell_angle_beta 90.00
_cell_angle_gamma 90.00
_space_group_name_H-M_alt 'C m c m'
_space_group_IT_number 63
_space_group_name_Hall '-C 2c 2'
loop_
_atom_site_label
_atom_site_fract_x
_atom_site_fract_y
_atom_site_fract_z
Ag1 0.000 0.179 0.075
Sn1 0.000 0.445 0.250
Te1 0.000 0.233 0.750
Se1 0.000 0.000 0.000
```

Main lines, by angle (15 to 90 degrees two-theta):
26.48 deg, d 3.366, intensity 351
28.10 deg, d 3.175, intensity 626
30.00 deg, d 2.979, intensity 716
30.42 deg, d 2.938, intensity 1000
33.55 deg, d 2.671, intensity 518
37.51 deg, d 2.398, intensity 564
38.55 deg, d 2.336, intensity 733
42.47 deg, d 2.129, intensity 522
42.61 deg, d 2.122, intensity 439
43.25 deg, d 2.092, intensity 573
49.07 deg, d 1.857, intensity 301
49.91 deg, d 1.827, intensity 355

Entry 3:
# SrAg5Se4
Computed X-ray powder pattern, Cu Kα (weighted mean of Kα1 and Kα2). Input: a DFT-relaxed cell (PBE, Alexandria).
Intensities are scaled so that the largest is 1000.

Structure:
```
data_SrAg5Se4
_chemical_formula_sum 'Sr2 Ag10 Se8'
_cell_length_a 4.312
_cell_length_b 7.855
_cell_length_c 14.618
_cell_angle_alpha 90.00
_cell_angle_beta 90.00
_cell_angle_gamma 90.00
_space_group_name_H-M_alt 'I m m m'
_space_group_IT_number 71
_space_group_name_Hall '-I 2 2'
loop_
_atom_site_label
_atom_site_fract_x
_atom_site_fract_y
_atom_site_fract_z
Sr1 0.000 0.000 0.000
Ag1 0.000 0.290 0.322
Ag2 0.000 0.500 0.000
Se1 0.000 0.000 0.219
Se2 0.000 0.216 0.500
```

Main lines, by angle (15 to 90 degrees two-theta):
21.47 deg, d 4.140, intensity 355
24.36 deg, d 3.655, intensity 219
27.63 deg, d 3.229, intensity 362
31.41 deg, d 2.848, intensity 1000
36.89 deg, d 2.436, intensity 266
41.91 deg, d 2.156, intensity 348
42.23 deg, d 2.140, intensity 305
43.95 deg, d 2.060, intensity 784
46.23 deg, d 1.964, intensity 136
57.04 deg, d 1.614, intensity 143
62.11 deg, d 1.494, intensity 157
77.97 deg, d 1.225, intensity 139

Entry 4:
# Sr2TbAg2Se4
Computed X-ray powder pattern, Cu Kα (weighted mean of Kα1 and Kα2). Input: a DFT-relaxed cell (PBE, Alexandria).
Intensities are scaled so that the largest is 1000.

Structure:
```
data_Sr2TbAg2Se4
_chemical_formula_sum 'Sr4 Tb2 Ag4 Se8'
_cell_length_a 15.968
_cell_length_b 4.097
_cell_length_c 7.880
_cell_angle_alpha 90.00
_cell_angle_beta 115.52
_cell_angle_gamma 90.00
_space_group_name_H-M_alt 'C 1 2/m 1'
_space_group_IT_number 12
loop_
_space_group_symop_operation_xyz
'x,y,z'
'-x,-y,-z'
'-x,y,-z'
'x,-y,z'
'x+1/2,y+1/2,z'
'-x+1/2,-y+1/2,-z'
'-x+1/2,y+1/2,-z'
'x+1/2,-y+1/2,z'
loop_
_atom_site_label
_atom_site_fract_x
_atom_site_fract_y
_atom_site_fract_z
Sr1 0.137 0.000 0.085
Tb1 0.000 0.000 0.500
Ag1 0.187 0.500 0.507
Se1 0.012 0.500 0.239
Se2 0.196 0.000 0.753
```

Main lines, by angle (15 to 90 degrees two-theta):
27.85 deg, d 3.203, intensity 541
31.85 deg, d 2.810, intensity 230
32.33 deg, d 2.769, intensity 241
32.48 deg, d 2.757, intensity 1000
33.86 deg, d 2.647, intensity 154
34.49 deg, d 2.600, intensity 648
35.23 deg, d 2.547, intensity 138
37.45 deg, d 2.402, intensity 266
43.64 deg, d 2.074, intensity 229
44.21 deg, d 2.049, intensity 341
45.99 deg, d 1.973, intensity 272
59.29 deg, d 1.559, intensity 136

Entry 5:
# Ta2Ag2Se
Computed X-ray powder pattern, Cu Kα (weighted mean of Kα1 and Kα2). Input: a DFT-relaxed cell (PBE, Alexandria).
Intensities are scaled so that the largest is 1000.

Structure:
```
data_Ta2Ag2Se
_chemical_formula_sum 'Ta4 Ag4 Se2'
_cell_length_a 6.597
_cell_length_b 6.597
_cell_length_c 4.455
_cell_angle_alpha 90.00
_cell_angle_beta 90.00
_cell_angle_gamma 90.00
_space_group_name_H-M_alt 'P 4/m b m'
_space_group_IT_number 127
_space_group_name_Hall '-P 4 2ab'
loop_
_atom_site_label
_atom_site_fract_x
_atom_site_fract_y
_atom_site_fract_z
Ta1 0.149 0.351 0.000
Ag1 0.150 0.650 0.500
Se1 0.000 0.000 0.000
```

Main lines, by angle (15 to 90 degrees two-theta):
19.03 deg, d 4.664, intensity 96
19.93 deg, d 4.455, intensity 125
36.53 deg, d 2.460, intensity 1000
40.49 deg, d 2.228, intensity 205
43.38 deg, d 2.086, intensity 252
55.74 deg, d 1.649, intensity 57
59.45 deg, d 1.555, intensity 58
60.83 deg, d 1.523, intensity 182
61.59 deg, d 1.506, intensity 78
71.08 deg, d 1.326, intensity 195
74.41 deg, d 1.275, intensity 60
81.49 deg, d 1.181, intensity 149

Entry 6:
# TaAg3Se4
Computed X-ray powder pattern, Cu Kα (weighted mean of Kα1 and Kα2). Input: a DFT-relaxed cell (PBE, Alexandria).
Intensities are scaled so that the largest is 1000.

Structure:
```
data_TaAg3Se4
_chemical_formula_sum 'Ta2 Ag6 Se8'
_cell_length_a 8.370
_cell_length_b 7.349
_cell_length_c 7.141
_cell_angle_alpha 90.00
_cell_angle_beta 90.00
_cell_angle_gamma 90.00
_space_group_name_H-M_alt 'P m n 21'
_space_group_IT_number 31
loop_
_space_group_symop_operation_xyz
'x,y,z'
'-x+1/2,-y,z+1/2'
'-x,y,z'
'x+1/2,-y,z+1/2'
loop_
_atom_site_label
_atom_site_fract_x
_atom_site_fract_y
_atom_site_fract_z
Ta1 0.000 0.176 0.000
Ag1 0.000 0.850 0.491
Ag2 0.247 0.676 0.982
Se1 0.000 0.177 0.661
Se2 0.000 0.866 0.118
Se3 0.240 0.332 0.111
```

Main lines, by angle (15 to 90 degrees two-theta):
24.22 deg, d 3.675, intensity 514
24.48 deg, d 3.637, intensity 983
24.94 deg, d 3.570, intensity 876
27.30 deg, d 3.267, intensity 448
27.52 deg, d 3.241, intensity 1000
35.23 deg, d 2.548, intensity 346
42.77 deg, d 2.114, intensity 831
43.24 deg, d 2.092, intensity 427
45.40 deg, d 1.998, intensity 460
45.55 deg, d 1.992, intensity 947
50.15 deg, d 1.819, intensity 612
64.49 deg, d 1.445, intensity 309

Entry 7:
# TaAgSe4
Computed X-ray powder pattern, Cu Kα (weighted mean of Kα1 and Kα2). Input: a DFT-relaxed cell (PBE, Alexandria).
Intensities are scaled so that the largest is 1000.

Structure:
```
data_TaAgSe4
_chemical_formula_sum 'Ta2 Ag2 Se8'
_cell_length_a 6.514
_cell_length_b 7.252
_cell_length_c 7.567
_cell_angle_alpha 107.97
_cell_angle_beta 90.98
_cell_angle_gamma 116.56
_space_group_name_H-M_alt 'P -1'
_space_group_IT_number 2
loop_
_space_group_symop_operation_xyz
'x,y,z'
'-x,-y,-z'
loop_
_atom_site_label
_atom_site_fract_x
_atom_site_fract_y
_atom_site_fract_z
Ta1 0.247 0.000 0.000
Ag1 0.151 0.304 0.678
Se1 0.057 0.103 0.304
Se2 0.173 0.347 0.033
Se3 0.363 0.735 0.740
Se4 0.433 0.858 0.213
```

Main lines, by angle (15 to 90 degrees two-theta):
15.52 deg, d 5.711, intensity 514
22.42 deg, d 3.966, intensity 366
27.39 deg, d 3.256, intensity 594
27.56 deg, d 3.236, intensity 654
37.19 deg, d 2.418, intensity 848
37.31 deg, d 2.410, intensity 1000
37.87 deg, d 2.376, intensity 560
38.15 deg, d 2.359, intensity 556
40.55 deg, d 2.224, intensity 420
40.73 deg, d 2.215, intensity 421
45.76 deg, d 1.983, intensity 449
56.52 deg, d 1.628, intensity 465

Entry 8:
# Ta2AgSe4
Computed X-ray powder pattern, Cu Kα (weighted mean of Kα1 and Kα2). Input: a DFT-relaxed cell (PBE, Alexandria).
Intensities are scaled so that the largest is 1000.

Structure:
```
data_Ta2AgSe4
_chemical_formula_sum 'Ta8 Ag4 Se16'
_cell_length_a 7.738
_cell_length_b 7.738
_cell_length_c 10.950
_cell_angle_alpha 90.00
_cell_angle_beta 90.00
_cell_angle_gamma 90.00
_space_group_name_H-M_alt 'I m m 2'
_space_group_IT_number 44
loop_
_space_group_symop_operation_xyz
'x,y,z'
'-x,-y,z'
'-x,y,z'
'x,-y,z'
'x+1/2,y+1/2,z+1/2'
'-x+1/2,-y+1/2,z+1/2'
'-x+1/2,y+1/2,z+1/2'
'x+1/2,-y+1/2,z+1/2'
loop_
_atom_site_label
_atom_site_fract_x
_atom_site_fract_y
_atom_site_fract_z
Ta1 0.000 0.219 0.000
Ta2 0.220 0.000 0.780
Ag1 0.000 0.000 0.391
Ag2 0.000 0.500 0.641
Se1 0.000 0.242 0.769
Se2 0.000 0.279 0.250
Se3 0.220 0.500 0.030
Se4 0.243 0.000 0.011
```

Main lines, by angle (15 to 90 degrees two-theta):
22.98 deg, d 3.870, intensity 230
27.02 deg, d 3.300, intensity 949
32.73 deg, d 2.736, intensity 743
40.37 deg, d 2.234, intensity 226
42.93 deg, d 2.107, intensity 677
46.96 deg, d 1.935, intensity 1000
58.41 deg, d 1.580, intensity 146
63.61 deg, d 1.463, intensity 144
65.50 deg, d 1.425, intensity 227
73.40 deg, d 1.290, intensity 152
78.09 deg, d 1.224, intensity 139
87.27 deg, d 1.117, intensity 236

Entry 9:
# Tb5AgSe8
Computed X-ray powder pattern, Cu Kα (weighted mean of Kα1 and Kα2). Input: a DFT-relaxed cell (PBE, Alexandria).
Intensities are scaled so that the largest is 1000.

Structure:
```
data_Tb5AgSe8
_chemical_formula_sum 'Tb20 Ag4 Se32'
_cell_length_a 11.906
_cell_length_b 11.906
_cell_length_c 11.906
_cell_angle_alpha 90.00
_cell_angle_beta 90.00
_cell_angle_gamma 90.00
_space_group_name_H-M_alt 'F -4 3 m'
_space_group_IT_number 216
_space_group_name_Hall 'F -4 2 3'
loop_
_atom_site_label
_atom_site_fract_x
_atom_site_fract_y
_atom_site_fract_z
Tb1 0.000 0.000 0.000
Tb2 0.120 0.120 0.380
Ag1 0.250 0.250 0.750
Se1 0.119 0.119 0.619
Se2 0.133 0.133 0.133
```

Main lines, by angle (15 to 90 degrees two-theta):
21.11 deg, d 4.209, intensity 219
24.80 deg, d 3.590, intensity 911
30.02 deg, d 2.976, intensity 570
39.32 deg, d 2.291, intensity 487
42.97 deg, d 2.105, intensity 1000
53.31 deg, d 1.718, intensity 141
59.65 deg, d 1.550, intensity 215
62.40 deg, d 1.488, intensity 157
68.22 deg, d 1.375, intensity 140
70.78 deg, d 1.331, intensity 170
78.76 deg, d 1.215, intensity 310
84.10 deg, d 1.151, intensity 149

Entry 10:
# Tb8AgTe4Se3
Computed X-ray powder pattern, Cu Kα (weighted mean of Kα1 and Kα2). Input: a DFT-relaxed cell (PBE, Alexandria).
Intensities are scaled so that the largest is 1000.

Structure:
```
data_Tb8AgTe4Se3
_chemical_formula_sum 'Tb24 Ag3 Te12 Se9'
_cell_length_a 8.4693
_cell_length_b 8.4693
_cell_length_c 21.0899
_cell_angle_alpha 90.00
_cell_angle_beta 90.00
_cell_angle_gamma 120.00
_space_group_name_H-M_alt 'R -3 m'
_space_group_IT_number 166
_space_group_name_Hall '-R 3 2"'
loop_
_atom_site_label
_atom_site_fract_x
_atom_site_fract_y
_atom_site_fract_z
Tb1 0.0000 0.0000 0.2390
Tb2 0.0018 0.5009 0.7581
Ag1 0.0000 0.0000 0.5000
Te1 0.0000 0.0000 0.0000
Te2 0.0000 0.5000 0.0000
Se1 0.0000 0.5000 0.5000
```

Main lines, by angle (15 to 90 degrees two-theta):
25.72 deg, d 3.464, intensity 53
29.67 deg, d 3.011, intensity 1000
32.35 deg, d 2.768, intensity 44
42.22 deg, d 2.141, intensity 349
42.70 deg, d 2.117, intensity 381
52.04 deg, d 1.757, intensity 54
52.86 deg, d 1.732, intensity 198
61.61 deg, d 1.505, intensity 113
69.51 deg, d 1.352, intensity 134
70.21 deg, d 1.341, intensity 168
77.86 deg, d 1.227, intensity 115
78.19 deg, d 1.222, intensity 64

Entry 11:
# Tb3TiAg3Se8
Computed X-ray powder pattern, Cu Kα (weighted mean of Kα1 and Kα2). Input: a DFT-relaxed cell (PBE, Alexandria).
Intensities are scaled so that the largest is 1000.

Structure:
```
data_Tb3TiAg3Se8
_chemical_formula_sum 'Tb6 Ti2 Ag6 Se16'
_cell_length_a 14.099
_cell_length_b 8.150
_cell_length_c 8.166
_cell_angle_alpha 90.00
_cell_angle_beta 125.31
_cell_angle_gamma 90.00
_space_group_name_H-M_alt 'C 1 2/m 1'
_space_group_IT_number 12
loop_
_space_group_symop_operation_xyz
'x,y,z'
'-x,-y,-z'
'-x,y,-z'
'x,-y,z'
'x+1/2,y+1/2,z'
'-x+1/2,-y+1/2,-z'
'-x+1/2,y+1/2,-z'
'x+1/2,-y+1/2,z'
loop_
_atom_site_label
_atom_site_fract_x
_atom_site_fract_y
_atom_site_fract_z
Tb1 0.000 0.000 0.000
Tb2 0.250 0.250 0.500
Ti1 0.000 0.500 0.000
Ag1 0.000 0.500 0.500
Ag2 0.250 0.250 0.000
Se1 0.000 0.271 0.228
Se2 0.229 0.500 0.230
Se3 0.250 0.000 0.251
```

Main lines, by angle (15 to 90 degrees two-theta):
15.38 deg, d 5.763, intensity 114
21.81 deg, d 4.075, intensity 97
31.04 deg, d 2.881, intensity 1000
44.44 deg, d 2.038, intensity 473
44.51 deg, d 2.036, intensity 235
55.17 deg, d 1.665, intensity 119
55.25 deg, d 1.663, intensity 119
64.63 deg, d 1.442, intensity 71
73.38 deg, d 1.290, intensity 95
73.51 deg, d 1.288, intensity 143
81.78 deg, d 1.178, intensity 69
81.91 deg, d 1.176, intensity 87

Entry 12:
# TbTlAgSe2
Computed X-ray powder pattern, Cu Kα (weighted mean of Kα1 and Kα2). Input: a DFT-relaxed cell (PBE, Alexandria).
Intensities are scaled so that the largest is 1000.

Structure:
```
data_TbTlAgSe2
_chemical_formula_sum 'Tb2 Tl2 Ag2 Se4'
_cell_length_a 6.758
_cell_length_b 5.944
_cell_length_c 7.747
_cell_angle_alpha 90.00
_cell_angle_beta 104.05
_cell_angle_gamma 90.00
_space_group_name_H-M_alt 'P 1 2/c 1'
_space_group_IT_number 13
loop_
_space_group_symop_operation_xyz
'x,y,z'
'-x,-y,-z'
'-x,y,-z+1/2'
'x,-y,z+1/2'
loop_
_atom_site_label
_atom_site_fract_x
_atom_site_fract_y
_atom_site_fract_z
Tb1 0.000 0.014 0.250
Tl1 0.500 0.316 0.250
Ag1 0.000 0.500 0.000
Se1 0.261 0.181 0.564
```

Main lines, by angle (15 to 90 degrees two-theta):
19.04 deg, d 4.662, intensity 411
24.27 deg, d 3.667, intensity 417
25.05 deg, d 3.555, intensity 1000
27.21 deg, d 3.278, intensity 441
28.60 deg, d 3.121, intensity 753
30.90 deg, d 2.894, intensity 359
31.56 deg, d 2.834, intensity 429
33.10 deg, d 2.707, intensity 930
33.79 deg, d 2.653, intensity 840
34.06 deg, d 2.632, intensity 429
39.02 deg, d 2.309, intensity 602
52.19 deg, d 1.753, intensity 546